Structure and computed powder diffractogram of AgHg4 (a cell relaxed with PBE; Cu Kα (λ = 1.5418 Å)).
Intensities are scaled so that the largest is 100.

Main lines, low angle first (5° ≤ 2θ ≤ 70°):
Position (°2θ)  d (Å)  Rel. int.
26.7  3.340  25
32.0  2.800  87
32.5  2.759  56
33.2  2.699  100
33.5  2.673  82
39.5  2.284  33
40.0  2.253  63
44.0  2.059  29
56.8  1.621  37
68.8  1.364  25

```
AgHg4
1.0
2.8039 -1.6311 0.0000
2.8039 1.6311 0.0000
-2.4236 0.0000 13.3614
Ag Hg
1 4
direct
0.0000 0.0000 0.0000 Ag
0.2293 0.2293 0.6030 Hg
0.2633 0.2633 0.8250 Hg
0.7367 0.7367 0.1750 Hg
0.7707 0.7707 0.3970 Hg
```



Structure and computed powder diffractogram of La17Cd12 (a cell relaxed with PBE; Cu Kα (λ = 1.5418 Å)).
Intensities are scaled so that the largest is 100.

Main lines, low angle first (5° ≤ 2θ ≤ 70°):
Position (°2θ)  d (Å)  Rel. int.
29.9  2.991  12
31.7  2.820  100
35.2  2.551  32
36.8  2.442  11
38.4  2.346  13
54.2  1.692  9
56.5  1.628  26
58.8  1.571  7
61.0  1.519  7
67.3  1.391  9

```
La17Cd12
1.0
-5.9820 5.9820 5.9820
5.9820 -5.9820 5.9820
5.9820 5.9820 -5.9820
La Cd
17 12
direct
0.0000 0.0000 0.0000 La
0.0000 0.0000 0.6501 La
0.0000 0.4197 0.7013 La
0.0000 0.6501 0.0000 La
0.0000 0.7013 0.4197 La
0.2815 0.5803 0.5803 La
0.2987 0.2987 0.7185 La
0.2987 0.7185 0.2987 La
0.3499 0.3499 0.3499 La
0.4197 0.0000 0.7013 La
0.4197 0.7013 0.0000 La
0.5803 0.2815 0.5803 La
0.5803 0.5803 0.2815 La
0.6501 0.0000 0.0000 La
0.7013 0.0000 0.4197 La
0.7013 0.4197 0.0000 La
0.7185 0.2987 0.2987 La
0.0000 0.1803 0.3642 Cd
0.0000 0.3642 0.1803 Cd
0.1803 0.0000 0.3642 Cd
0.1803 0.3642 0.0000 Cd
0.1839 0.8197 0.8197 Cd
0.3642 0.0000 0.1803 Cd
0.3642 0.1803 0.0000 Cd
0.6358 0.6358 0.8161 Cd
0.6358 0.8161 0.6358 Cd
0.8161 0.6358 0.6358 Cd
0.8197 0.1839 0.8197 Cd
0.8197 0.8197 0.1839 Cd
```



Structure and computed powder diffractogram of Sb5Mo (a cell relaxed with PBE; Cu Kα (λ = 1.5418 Å)).
Intensities are scaled so that the largest is 100.

Main lines, low angle first (5° ≤ 2θ ≤ 70°):
Position (°2θ)  d (Å)  Rel. int.
12.2  7.265  58
13.1  6.762  57
28.3  3.158  45
32.5  2.754  69
34.1  2.632  71
34.9  2.570  100
35.4  2.535  59
42.4  2.130  47
43.0  2.103  54
54.1  1.694  42

```
Sb5Mo
1.0
7.0894 -1.6948 0.0000
7.0894 1.6948 0.0000
-4.8004 0.0000 7.2654
Sb Mo
5 1
direct
0.0000 0.0000 0.0000 Sb
0.0121 0.0121 0.3593 Sb
0.2329 0.2329 0.1281 Sb
0.3391 0.3391 0.5388 Sb
0.7086 0.7086 0.6845 Sb
0.6556 0.6556 0.3166 Mo
```



Structure and computed powder diffractogram of AcPr5Ho5 (a cell relaxed with PBE; Cu Kα (λ = 1.5418 Å)).
Intensities are scaled so that the largest is 100.

Main lines, low angle first (5° ≤ 2θ ≤ 70°):
Position (°2θ)  d (Å)  Rel. int.
28.0  3.192  100
28.7  3.113  84
29.7  3.012  34
34.1  2.629  25
34.5  2.601  28
36.6  2.455  36
36.7  2.447  28
45.4  1.996  21
50.4  1.812  40
59.4  1.557  28

```
AcPr5Ho5
1.0
6.2269 0.0000 0.0000
-3.1135 5.3927 0.0000
0.0000 0.0000 11.8783
Ac Pr Ho
1 5 5
direct
0.0000 0.0000 0.0000 Ac
0.0000 0.0000 0.3265 Pr
0.0000 0.0000 0.6735 Pr
0.3333 0.6667 0.1592 Pr
0.3333 0.6667 0.8408 Pr
0.6667 0.3333 0.0000 Pr
0.5009 0.0019 0.5000 Ho
0.5009 0.4991 0.5000 Ho
0.6667 0.3333 0.2663 Ho
0.6667 0.3333 0.7337 Ho
0.9981 0.4991 0.5000 Ho
```



Structure and computed powder diffractogram of ThPa6Se8 (a cell relaxed with PBE; Cu Kα (λ = 1.5418 Å)).
Intensities are scaled so that the largest is 100.

Main lines, low angle first (5° ≤ 2θ ≤ 70°):
Position (°2θ)  d (Å)  Rel. int.
13.4  6.613  6
15.5  5.727  5
25.8  3.454  8
27.0  3.307  35
31.2  2.864  100
34.1  2.628  6
44.8  2.025  74
53.0  1.727  19
55.6  1.653  26
65.2  1.432  12

```
ThPa6Se8
1.0
0.0000 5.7273 5.7273
5.7273 0.0000 5.7273
5.7273 5.7273 0.0000
Th Pa Se
1 6 8
direct
0.0000 0.0000 0.0000 Th
0.0000 0.0000 0.5000 Pa
0.0000 0.5000 0.0000 Pa
0.0000 0.5000 0.5000 Pa
0.5000 0.0000 0.0000 Pa
0.5000 0.0000 0.5000 Pa
0.5000 0.5000 0.0000 Pa
0.2500 0.2500 0.2500 Se
0.2653 0.2653 0.7347 Se
0.2653 0.7347 0.2653 Se
0.2653 0.7347 0.7347 Se
0.7347 0.2653 0.2653 Se
0.7347 0.2653 0.7347 Se
0.7347 0.7347 0.2653 Se
0.7500 0.7500 0.7500 Se
```



Structure and computed powder diffractogram of ReRhCl (a cell relaxed with PBE; Cu Kα (λ = 1.5418 Å)).
Intensities are scaled so that the largest is 100.

Main lines, low angle first (5° ≤ 2θ ≤ 70°):
Position (°2θ)  d (Å)  Rel. int.
14.0  6.323  63
28.2  3.162  7
35.9  2.501  17
38.7  2.326  100
42.9  2.108  21
46.3  1.961  65
57.2  1.612  11
58.4  1.581  3
64.5  1.444  19
66.4  1.408  7

```
ReRhCl
1.0
2.8877 0.0000 0.0000
-1.4438 2.5008 0.0000
0.0000 0.0000 6.3234
Re Rh Cl
1 1 1
direct
0.0000 0.0000 0.0000 Re
0.3333 0.6667 0.3163 Rh
0.6667 0.3333 0.6806 Cl
```



Structure and computed powder diffractogram of Pr4GaSb3 (a cell relaxed with PBE; Cu Kα (λ = 1.5418 Å)).
Intensities are scaled so that the largest is 100.

Main lines, low angle first (5° ≤ 2θ ≤ 70°):
Position (°2θ)  d (Å)  Rel. int.
13.9  6.389  1
19.7  4.518  1
24.1  3.689  3
27.9  3.194  100
39.9  2.259  77
47.2  1.926  2
49.4  1.844  27
57.7  1.597  13
63.5  1.466  1
65.3  1.429  35

```
Pr4GaSb3
1.0
6.3888 0.0000 0.0000
0.0000 6.3888 0.0000
0.0000 0.0000 6.3888
Pr Ga Sb
4 1 3
direct
0.0000 0.0000 0.0000 Pr
0.0000 0.5000 0.5000 Pr
0.5000 0.0000 0.5000 Pr
0.5000 0.5000 0.0000 Pr
0.5000 0.5000 0.5000 Ga
0.0000 0.0000 0.5000 Sb
0.0000 0.5000 0.0000 Sb
0.5000 0.0000 0.0000 Sb
```



Structure and computed powder diffractogram of TbHo5ErIn2 (a cell relaxed with PBE; Cu Kα (λ = 1.5418 Å)).
Intensities are scaled so that the largest is 100.

Main lines, low angle first (5° ≤ 2θ ≤ 70°):
Position (°2θ)  d (Å)  Rel. int.
29.7  3.006  33
29.9  2.989  100
33.4  2.683  30
35.1  2.555  23
37.0  2.426  26
37.5  2.400  10
49.8  1.832  8
50.7  1.800  19
57.5  1.602  13
62.4  1.488  12

```
TbHo5ErIn2
1.0
-3.7944 3.7944 9.7059
3.7944 -3.7944 9.7059
3.7944 3.7944 -9.7059
Tb Ho Er In
2 10 2 4
direct
0.2500 0.2500 0.0000 Tb
0.7500 0.7500 0.0000 Tb
0.0000 0.0000 0.0000 Ho
0.0772 0.5772 0.9015 Ho
0.1757 0.0772 0.5000 Ho
0.3243 0.8243 0.9015 Ho
0.4228 0.3243 0.5000 Ho
0.5000 0.5000 0.0000 Ho
0.5772 0.6757 0.5000 Ho
0.6757 0.1757 0.0985 Ho
0.8243 0.9228 0.5000 Ho
0.9228 0.4228 0.0985 Ho
0.2500 0.7500 0.5000 Er
0.7500 0.2500 0.5000 Er
0.1241 0.3759 0.5000 In
0.3759 0.8759 0.2517 In
0.6241 0.1241 0.7483 In
0.8759 0.6241 0.5000 In
```



Structure and computed powder diffractogram of LaCd6Hg (a cell relaxed with PBE; Cu Kα (λ = 1.5418 Å)).
Intensities are scaled so that the largest is 100.

Main lines, low angle first (5° ≤ 2θ ≤ 70°):
Position (°2θ)  d (Å)  Rel. int.
26.9  3.315  8
32.0  2.796  74
34.4  2.604  100
40.5  2.227  39
44.2  2.048  11
54.2  1.693  33
55.4  1.657  8
60.2  1.538  12
61.7  1.504  18
66.9  1.398  27

```
LaCd6Hg
1.0
6.0142 0.0000 0.0000
-3.0071 5.2085 0.0000
0.0000 0.0000 6.6296
La Cd Hg
1 6 1
direct
0.0000 0.0000 0.0000 La
0.0000 0.5000 0.2549 Cd
0.0000 0.5000 0.7451 Cd
0.5000 0.0000 0.2549 Cd
0.5000 0.0000 0.7451 Cd
0.5000 0.5000 0.2549 Cd
0.5000 0.5000 0.7451 Cd
0.0000 0.0000 0.5000 Hg
```



Structure and computed powder diffractogram of Ba4Se (a cell relaxed with PBE; Cu Kα (λ = 1.5418 Å)).
Intensities are scaled so that the largest is 100.

Main lines, low angle first (5° ≤ 2θ ≤ 70°):
Position (°2θ)  d (Å)  Rel. int.
15.9  5.582  10
22.5  3.947  66
27.7  3.223  5
32.1  2.791  100
39.5  2.279  20
42.9  2.110  3
46.0  1.974  18
51.8  1.765  28
57.2  1.611  38
67.1  1.395  12

```
Ba4Se
1.0
-3.9470 3.9470 3.9470
3.9470 -3.9470 3.9470
3.9470 3.9470 -3.9470
Ba Se
4 1
direct
0.0000 0.0000 0.5000 Ba
0.0000 0.5000 0.0000 Ba
0.5000 0.0000 0.0000 Ba
0.5000 0.5000 0.5000 Ba
0.0000 0.0000 0.0000 Se
```



Structure and computed powder diffractogram of MgVIn (a cell relaxed with PBE; Cu Kα (λ = 1.5418 Å)).
Intensities are scaled so that the largest is 100.

Main lines, low angle first (5° ≤ 2θ ≤ 70°):
Position (°2θ)  d (Å)  Rel. int.
14.0  6.326  42
21.6  4.122  79
24.7  3.602  35
29.5  3.031  93
32.7  2.738  45
35.7  2.512  35
37.9  2.377  57
41.3  2.188  100
41.4  2.180  45
41.7  2.167  77

```
MgVIn
1.0
0.0000 3.6024 6.3255
2.7377 0.0000 6.3255
2.7377 3.6024 0.0000
Mg V In
2 2 2
direct
0.2500 0.2500 0.2500 Mg
0.7500 0.7500 0.7500 Mg
0.1315 0.8685 0.1315 V
0.8685 0.1315 0.8685 V
0.3911 0.3911 0.6089 In
0.6089 0.6089 0.3911 In
```



Structure and computed powder diffractogram of Ce3CoRh (a cell relaxed with PBE; Cu Kα (λ = 1.5418 Å)).
Intensities are scaled so that the largest is 100.

Main lines, low angle first (5° ≤ 2θ ≤ 70°):
Position (°2θ)  d (Å)  Rel. int.
28.9  3.091  30
29.9  2.988  100
32.9  2.718  15
36.5  2.463  16
38.5  2.339  36
39.5  2.281  46
44.5  2.037  36
46.8  1.942  11
48.8  1.865  14
64.4  1.447  11

```
Ce3CoRh
1.0
2.3391 -7.0605 0.0000
2.3391 7.0605 0.0000
0.0000 0.0000 6.8758
Ce Co Rh
6 2 2
direct
0.0601 0.9399 0.5000 Ce
0.2406 0.7594 0.8852 Ce
0.4292 0.5708 0.5772 Ce
0.5708 0.4292 0.0772 Ce
0.7594 0.2406 0.3852 Ce
0.9399 0.0601 0.0000 Ce
0.1587 0.8413 0.2093 Co
0.8413 0.1587 0.7093 Co
0.3572 0.6428 0.2124 Rh
0.6428 0.3572 0.7124 Rh
```



Structure and computed powder diffractogram of BaNpGa2I8 (a cell relaxed with PBE; Cu Kα (λ = 1.5418 Å)).
Intensities are scaled so that the largest is 100.

Main lines, low angle first (5° ≤ 2θ ≤ 70°):
Position (°2θ)  d (Å)  Rel. int.
16.2  5.464  39
16.5  5.381  33
21.8  4.078  28
24.5  3.637  100
24.6  3.612  35
25.7  3.469  49
32.2  2.783  55
32.4  2.761  43
36.9  2.436  31
38.9  2.317  60

```
BaNpGa2I8
1.0
7.4528 0.0000 0.0000
0.0000 9.7446 0.0000
-0.1217 0.0000 7.9033
Ba Np Ga I
1 1 2 8
direct
0.0000 0.0000 0.0000 Ba
0.0000 0.5000 0.0000 Np
0.5000 0.2403 0.5000 Ga
0.5000 0.7597 0.5000 Ga
0.2296 0.5000 0.3106 I
0.2401 0.2804 0.8472 I
0.2401 0.7196 0.8472 I
0.2734 0.0000 0.3536 I
0.7266 0.0000 0.6464 I
0.7599 0.2804 0.1528 I
0.7599 0.7196 0.1528 I
0.7704 0.5000 0.6894 I
```



Structure and computed powder diffractogram of Li2TmCl5 (a cell relaxed with PBE; Cu Kα (λ = 1.5418 Å)).
Intensities are scaled so that the largest is 100.

Main lines, low angle first (5° ≤ 2θ ≤ 70°):
Position (°2θ)  d (Å)  Rel. int.
14.3  6.189  100
15.5  5.699  58
16.9  5.246  21
17.4  5.092  52
22.2  4.009  19
27.2  3.279  24
30.0  2.980  26
31.8  2.814  23
38.8  2.322  27
45.2  2.006  18

```
Li2TmCl5
1.0
5.6529 -4.0091 0.0000
5.6529 4.0091 0.0000
-3.3665 0.0000 5.6986
Li Tm Cl
2 1 5
direct
0.2116 0.7884 0.0000 Li
0.7884 0.2116 0.0000 Li
0.7801 0.7801 0.2371 Tm
0.0237 0.0237 0.2841 Cl
0.4517 0.9862 0.0115 Cl
0.5254 0.5254 0.1399 Cl
0.8729 0.8729 0.6786 Cl
0.9862 0.4517 0.0115 Cl
```